The following is a calculated XRD peak list of Ba2AlSb3O8. It was derived from a PBE-relaxed structure, using Cu Kα (weighted mean of Kα1 and Kα2).
Lines closer than 0.1° are merged.

Structure:
a b c (Å): 4.2609 4.2609 11.8752
angles (deg): 90.00 90.00 90.00
Space group P4/mmm (No. 123)
Asymmetric unit:
1 Ba 0.0000 0.0000 0.1805
2 Al 0.0000 0.0000 0.5000
3 Sb 0.5000 0.5000 0.0000
4 Sb 0.5000 0.5000 0.3560
5 O 0.0000 0.5000 0.0000
6 O 0.0000 0.5000 0.3397
7 O 0.5000 0.5000 0.1781

Peak list (12 most intense, 2θ from 5° to 70°, low angle first)
- 11.875 Å, I = 8, (0 0 1)
- 3.462 Å, I = 15, (1 0 2)
- 3.013 Å, I = 54, (1 1 0)
- 2.900 Å, I = 100, (1 0 3)
- 2.130 Å, I = 36, (2 0 0)
- 1.979 Å, I = 10, (0 0 6)
- 1.865 Å, I = 11, (1 1 5)
- 1.717 Å, I = 43, (2 1 3)
- 1.654 Å, I = 12, (1 1 6)
- 1.506 Å, I = 11, (2 2 0)
- 1.450 Å, I = 14, (2 0 6)
- 1.347 Å, I = 10, (3 1 0)

=====

The following is a calculated XRD peak list of BaAl4Sb2O12. It was derived from a PBE-relaxed structure, using Cu Kα (weighted mean of Kα1 and Kα2).
Lines closer than 0.1° are merged.

Structure:
a b c (Å): 9.9976 9.9976 8.8838
angles (deg): 90.00 90.00 90.00
Space group I4/m (No. 87)
Asymmetric unit:
1 Ba 0.0000 0.0000 0.2157
2 Al 0.1499 0.3349 0.1657
3 Sb 0.1494 0.3354 0.5000
4 O 0.0383 0.6678 0.1738
5 O 0.0480 0.6614 0.5000
6 O 0.1497 0.2011 0.0000
7 O 0.1557 0.2024 0.3298

Peak list (12 most intense, 2θ from 5° to 70°, low angle first)
- 3.994 Å, I = 73, (2 1 1)
- 3.761 Å, I = 47, (1 1 2)
- 3.320 Å, I = 41, (2 0 2)
- 3.162 Å, I = 100, (1 3 0)
- 2.469 Å, I = 48, (1 2 3)
- 2.214 Å, I = 23, (3 0 3)
- 2.178 Å, I = 23, (4 0 2)
- 2.082 Å, I = 29, (3 3 2)
- 1.876 Å, I = 26, (4 1 3)
- 1.817 Å, I = 25, (1 3 4)
- 1.573 Å, I = 31, (2 5 3)
- 1.381 Å, I = 24, (5 4 3)